# 1
Simulated powder diffraction line list of Sm4H2Pb3 for Cu Ka, from DFT lattice parameters and positions (GGA-PBE).
No peak broadening, texture or thermal motion is included.

Unit cell a=8.498 b=8.498 c=6.729 alpha=101.17 beta=101.17 gamma=70.65
Fractional coordinates of all 18 atoms:
Sm (0.115, 0.663, 0.967)
Sm (0.231, 0.381, 0.407)
Sm (0.337, 0.885, 0.533)
Sm (0.381, 0.231, 0.907)
Sm (0.619, 0.769, 0.093)
Sm (0.663, 0.115, 0.467)
Sm (0.769, 0.619, 0.593)
Sm (0.885, 0.337, 0.033)
H (0.141, 0.408, 0.065)
H (0.408, 0.141, 0.565)
H (0.592, 0.859, 0.435)
H (0.859, 0.592, 0.935)
Pb (0.004, 0.223, 0.568)
Pb (0.223, 0.004, 0.068)
Pb (0.489, 0.511, 0.750)
Pb (0.511, 0.489, 0.250)
Pb (0.777, 0.996, 0.932)
Pb (0.996, 0.777, 0.432)

Main lines, sorted by position (2θ = 10–90°):
- 28.0 deg, I = 68.3
- 32.0 deg, I = 100.0
- 33.2 deg, I = 48.9
- 33.4 deg, I = 51.0
- 34.5 deg, I = 84.9
- 34.7 deg, I = 59.7

# 2
Simulated powder diffraction line list of Sr2TcIrO6 for Cu Ka, from DFT lattice parameters and positions (GGA-PBE).
No peak broadening, texture or thermal motion is included.

Unit cell a=5.602 b=5.602 c=4.093 alpha=90.00 beta=90.00 gamma=90.00
Fractional coordinates of all 10 atoms:
Sr (0.000, 0.500, 0.000)
Sr (0.500, 0.000, 0.000)
Tc (0.000, 0.000, 0.500)
Ir (0.500, 0.500, 0.500)
O (0.000, 0.000, 0.000)
O (0.248, 0.248, 0.500)
O (0.248, 0.752, 0.500)
O (0.500, 0.500, 0.000)
O (0.752, 0.248, 0.500)
O (0.752, 0.752, 0.500)

Main lines, sorted by position (2θ = 10–90°):
- 31.4 deg, I = 100.0
- 31.9 deg, I = 47.9
- 45.8 deg, I = 29.2
- 55.6 deg, I = 20.3
- 56.6 deg, I = 38.6
- 65.6 deg, I = 18.8